Record 1
This entry pairs a crystal structure of Mg2TaNi3Sb3 with its calculated XRD peak list. Radiation: Cu Kα (weighted mean of Kα1 and Kα2). Structure: DFT lattice parameters and positions (PBE).

Structure:
Cell lengths 7.4080, 12.8078, 7.3778 Å; angles 90.00, 109.47, 90.00 degrees
Space group Cc (No. 9)
Asymmetric unit:
Mg: 0.0000 0.0834 0.0000 [4 per cell]
Mg: 0.0066 0.2497 0.5001 [4 per cell]
Ta: 0.0065 0.4172 0.0035 [4 per cell]
Ni: 0.3640 0.4162 0.1219 [4 per cell]
Ni: 0.3855 0.2416 0.6220 [4 per cell]
Ni: 0.3887 0.0765 0.1362 [4 per cell]
Sb: 0.2479 0.0835 0.7549 [4 per cell]
Sb: 0.2560 0.2472 0.2498 [4 per cell]
Sb: 0.2581 0.4129 0.7486 [4 per cell]

Main lines, low angle first (15° ≤ 2θ ≤ 90°):
| Position (°2θ) | I/Imax | index |
| --- | --- | --- |
| 18.84 | 12 | 0 2 1 |
| 25.53 | 33 | 1 3 -1 |
| 25.61 | 9 | 0 0 2 |
| 29.60 | 51 | 1 3 1 |
| 42.31 | 100 | 2 0 2 |
| 42.42 | 50 | 1 3 -3 |
| 61.44 | 24 | 4 0 -4 |
| 77.31 | 12 | 5 3 1 |
| 77.45 | 23 | 4 6 -4 |
| 77.62 | 12 | 1 3 5 |



Record 2
This entry pairs a crystal structure of Sc4AsAuC2 with its calculated XRD peak list. Radiation: Cu Kα (weighted mean of Kα1 and Kα2). Structure: DFT lattice parameters and positions (PBE).

Structure:
Cell lengths 3.4028, 3.4028, 13.2720 Å; angles 90.00, 90.00, 120.00 degrees
Space group P-6m2 (No. 187)
Asymmetric unit:
Sc: 0.0000 0.0000 0.1523 [2 per cell]
Sc: 0.6667 0.3333 0.3357 [2 per cell]
As: 0.6667 0.3333 0.0000 [1 per cell]
Au: 0.0000 0.0000 0.5000 [1 per cell]
C: 0.3333 0.6667 0.2480 [2 per cell]

Main lines, low angle first (15° ≤ 2θ ≤ 90°):
| Position (°2θ) | I/Imax | index |
| --- | --- | --- |
| 30.33 | 28 | 1 0 0 |
| 31.09 | 27 | 1 0 1 |
| 33.27 | 24 | 1 0 2 |
| 36.64 | 100 | 1 0 3 |
| 40.79 | 14 | 0 0 6 |
| 46.02 | 16 | 1 0 5 |
| 51.67 | 15 | 1 0 6 |
| 53.89 | 23 | 1 1 0 |
| 66.94 | 16 | 2 0 3 |
| 69.73 | 17 | 1 1 6 |



Record 3
This entry pairs a crystal structure of PmYNO with its calculated XRD peak list. Radiation: Cu Kα (weighted mean of Kα1 and Kα2). Structure: DFT lattice parameters and positions (PBE).

Structure:
Cell lengths 8.1776, 6.7531, 5.0150 Å; angles 90.00, 90.00, 90.00 degrees
Space group Pbcm (No. 57)
Asymmetric unit:
Pm: 0.1244 0.0697 0.2500 [4 per cell]
Y: 0.3767 0.5845 0.2500 [4 per cell]
N: 0.3804 0.5764 0.7500 [4 per cell]
O: 0.1399 0.0886 0.7500 [4 per cell]

Main lines, low angle first (15° ≤ 2θ ≤ 90°):
| Position (°2θ) | I/Imax | index |
| --- | --- | --- |
| 25.47 | 38 | 2 1 0 |
| 26.40 | 27 | 0 2 0 |
| 31.18 | 100 | 2 1 1 |
| 31.95 | 38 | 0 2 1 |
| 35.81 | 36 | 0 0 2 |
| 44.31 | 19 | 4 0 0 |
| 46.03 | 33 | 2 3 0 |
| 55.66 | 17 | 4 2 1 |
| 58.23 | 17 | 4 0 2 |
| 59.65 | 30 | 2 3 2 |



Record 4
This entry pairs a crystal structure of Tl3PtF6 with its calculated XRD peak list. Radiation: Cu Kα (weighted mean of Kα1 and Kα2). Structure: DFT lattice parameters and positions (PBE).

Structure:
Cell lengths 8.8848, 8.8848, 8.8848 Å; angles 90.00, 90.00, 90.00 degrees
Space group Fm-3m (No. 225)
Asymmetric unit:
Tl: 0.0000 0.0000 0.0000 [4 per cell]
Tl: 0.2500 0.2500 0.2500 [8 per cell]
Pt: 0.0000 0.0000 0.5000 [4 per cell]
F: 0.0000 0.0000 0.2677 [24 per cell]

Main lines, low angle first (15° ≤ 2θ ≤ 90°):
| Position (°2θ) | I/Imax | index |
| --- | --- | --- |
| 28.41 | 100 | 2 2 0 |
| 34.98 | 1 | 2 2 2 |
| 40.62 | 28 | 4 0 0 |
| 50.31 | 43 | 4 2 2 |
| 58.79 | 18 | 4 4 0 |
| 66.57 | 19 | 6 2 0 |
| 73.90 | 6 | 4 4 4 |
| 80.98 | 23 | 6 4 2 |
| 87.92 | 3 | 8 0 0 |



Record 5
This entry pairs a crystal structure of ZnCu10 with its calculated XRD peak list. Radiation: Cu Kα (weighted mean of Kα1 and Kα2). Structure: DFT lattice parameters and positions (PBE).

Structure:
Cell lengths 8.0317, 3.5131, 27.7260 Å; angles 90.00, 90.38, 90.00 degrees
Space group C2/m (No. 12)
Asymmetric unit:
Zn: 0.1534 0.0000 0.1879 [4 per cell]
Cu: 0.0483 0.0000 0.6933 [4 per cell]
Cu: 0.0495 0.0000 0.3961 [4 per cell]
Cu: 0.0504 0.5000 0.2456 [4 per cell]
Cu: 0.0504 0.5000 0.5444 [4 per cell]
Cu: 0.1475 0.0000 0.7833 [4 per cell]
Cu: 0.1500 0.0000 0.4852 [4 per cell]
Cu: 0.1501 0.5000 0.3363 [4 per cell]
Cu: 0.1500 0.5000 0.6333 [4 per cell]
Cu: 0.2469 0.5000 0.7221 [4 per cell]
Cu: 0.2493 0.5000 0.4257 [4 per cell]

Main lines, low angle first (15° ≤ 2θ ≤ 90°):
| Position (°2θ) | I/Imax | index |
| --- | --- | --- |
| 43.12 | 100 | 1 1 10 |
| 43.57 | 83 | 3 1 -3 |
| 44.44 | 48 | 3 1 -4 |
| 45.78 | 22 | 1 1 11 |
| 48.18 | 28 | 2 0 -13 |
| 51.14 | 27 | 4 0 7 |
| 51.30 | 18 | 2 0 -14 |
| 52.07 | 28 | 0 2 0 |
| 74.74 | 15 | 6 0 -7 |
| 75.99 | 18 | 4 2 7 |



Record 6
This entry pairs a crystal structure of RbLaCdS3 with its calculated XRD peak list. Radiation: Cu Kα (weighted mean of Kα1 and Kα2). Structure: DFT lattice parameters and positions (PBE).

Structure:
Cell lengths 8.4020, 4.3136, 10.6526 Å; angles 90.00, 106.70, 90.00 degrees
Space group P2_1/m (No. 11)
Asymmetric unit:
Rb: 0.2350 0.2500 0.2202 [2 per cell]
La: 0.1945 0.7500 0.6300 [2 per cell]
Cd: 0.4170 0.2500 0.8899 [2 per cell]
S: 0.0305 0.7500 0.3601 [2 per cell]
S: 0.2753 0.7500 0.9416 [2 per cell]
S: 0.4333 0.2500 0.6586 [2 per cell]

Main lines, low angle first (15° ≤ 2θ ≤ 90°):
| Position (°2θ) | I/Imax | index |
| --- | --- | --- |
| 23.91 | 57 | 2 0 -2 |
| 26.10 | 91 | 1 1 1 |
| 27.29 | 37 | 1 1 -2 |
| 29.78 | 100 | 2 1 -1 |
| 30.38 | 51 | 2 1 0 |
| 31.36 | 57 | 1 0 3 |
| 32.87 | 90 | 1 1 -3 |
| 33.42 | 61 | 2 1 1 |
| 41.89 | 50 | 0 2 0 |
| 48.38 | 37 | 4 1 -1 |



Record 7
This entry pairs a crystal structure of Sm2PdPt with its calculated XRD peak list. Radiation: Cu Kα (weighted mean of Kα1 and Kα2). Structure: DFT lattice parameters and positions (PBE).

Structure:
Cell lengths 5.7011, 4.5691, 7.6815 Å; angles 90.00, 109.68, 90.00 degrees
Space group P2_1/m (No. 11)
Asymmetric unit:
Sm: 0.2228 0.2500 0.4340 [2 per cell]
Sm: 0.2286 0.2500 0.9288 [2 per cell]
Pd: 0.3228 0.7500 0.2062 [2 per cell]
Pt: 0.3298 0.7500 0.7072 [2 per cell]

Main lines, low angle first (15° ≤ 2θ ≤ 90°):
| Position (°2θ) | I/Imax | index |
| --- | --- | --- |
| 31.55 | 100 | 0 1 2 |
| 33.38 | 31 | 2 0 0 |
| 34.25 | 15 | 1 0 2 |
| 38.92 | 22 | 2 1 0 |
| 39.44 | 34 | 0 2 0 |
| 39.68 | 77 | 1 1 2 |
| 47.34 | 20 | 1 0 -4 |
| 52.61 | 17 | 2 2 0 |
| 63.26 | 17 | 1 2 -4 |
| 79.26 | 14 | 3 2 2 |



Record 8
This entry pairs a crystal structure of TbGaNi2As with its calculated XRD peak list. Radiation: Cu Kα (weighted mean of Kα1 and Kα2). Structure: DFT lattice parameters and positions (PBE).

Structure:
Cell lengths 4.0472, 4.0472, 9.8176 Å; angles 90.00, 90.00, 90.00 degrees
Space group P4/nmm (No. 129, origin choice 2)
Asymmetric unit:
Tb: 0.2500 0.2500 0.2452 [2 per cell]
Ga: 0.2500 0.7500 0.5000 [2 per cell]
Ni: 0.2500 0.2500 0.6341 [2 per cell]
Ni: 0.2500 0.7500 0.0000 [2 per cell]
As: 0.2500 0.2500 0.8667 [2 per cell]

Main lines, low angle first (15° ≤ 2θ ≤ 90°):
| Position (°2θ) | I/Imax | index |
| --- | --- | --- |
| 31.25 | 20 | 1 1 0 |
| 35.27 | 64 | 1 0 3 |
| 36.34 | 100 | 1 1 2 |
| 44.79 | 55 | 2 0 0 |
| 51.75 | 29 | 1 0 5 |
| 58.25 | 30 | 2 1 3 |
| 65.20 | 17 | 2 2 0 |
| 65.74 | 11 | 1 1 6 |
| 70.80 | 22 | 2 1 5 |
| 77.00 | 21 | 3 1 2 |